The following is a theoretical powder X-ray diffraction pattern of Li2Mn5P4O16. It was derived from DFT lattice parameters and positions (GGA+U), using Cu Kα.

Main lines, sorted by position (2θ = 10–80°):
4.832 Å, I = 966; 4.551 Å, I = 1000; 4.035 Å, I = 418; 3.772 Å, I = 542; 3.679 Å, I = 647; 3.453 Å, I = 847; 3.252 Å, I = 473; 2.826 Å, I = 546; 2.677 Å, I = 867; 2.641 Å, I = 727; 2.572 Å, I = 764; 2.501 Å, I = 341

```
Li2Mn5P4O16
1.0
5.3106 0.0000 0.0000
2.1347 8.0819 0.0000
0.4193 3.6246 7.9777
Li Mn P O
2 5 4 16
direct
0.0599 0.4051 0.2364
0.9401 0.5949 0.7636
0.1310 0.1126 0.6532
0.3973 0.7383 0.2096
0.5000 0.5000 0.0000
0.6027 0.2617 0.7904
0.8690 0.8874 0.3468
0.1247 0.1996 0.0077
0.4021 0.7170 0.5884
0.5979 0.2830 0.4116
0.8753 0.8004 0.9923
0.1242 0.0117 0.1451
0.1594 0.6783 0.0633
0.2558 0.3053 0.0744
0.2565 0.7092 0.4413
0.2613 0.8864 0.6130
0.2658 0.1759 0.8533
0.3050 0.2973 0.4438
0.3706 0.5464 0.7495
0.6294 0.4536 0.2505
0.6950 0.7027 0.5562
0.7342 0.8241 0.1467
0.7387 0.1136 0.3870
0.7435 0.2908 0.5587
0.7442 0.6947 0.9256
0.8406 0.3217 0.9367
0.8758 0.9883 0.8549
```